Record 1
For AcMg9Au3, DFT lattice parameters and positions (GGA-PBE) gives the computed powder X-ray diffraction pattern in this record (Cu Ka).

Structure:
Cell: 5.655 14.224 7.616 Å, 90.00 111.19 90.00°
Space group C2/m (No. 12)
Inequivalent atoms, fractional coordinates:
Ac1 0.000 0.000 0.000 x2
Mg1 0.000 0.000 0.500 x2
Mg2 0.099 0.389 0.213 x8
Mg3 0.173 0.178 0.340 x8
Au1 0.000 0.500 0.500 x2
Au2 0.250 0.250 0.000 x4

Most intense lines, 15° ≤ 2θ ≤ 90°, sorted by position:
two_theta, Rel. int., (hkl)
17.6, 58, 0 2 1
18.1, 53, 1 1 -1
25.1, 100, 0 4 0
25.2, 28, 1 1 1
35.7, 73, 0 4 2
36.3, 60, 2 2 0
36.6, 58, 2 2 -2
40.1, 31, 0 2 3
51.4, 29, 0 0 4
58.0, 30, 0 8 2


Record 2
For TbSbN, DFT lattice parameters and positions (GGA-PBE) gives the computed powder X-ray diffraction pattern in this record (Cu Ka).

Structure:
Cell: 3.488 3.488 20.479 Å, 90.00 90.00 90.00°
Space group I4/mmm (No. 139)
Inequivalent atoms, fractional coordinates:
Tb1 0.000 0.000 0.189 x4
Sb1 0.000 0.000 0.418 x4
N1 0.000 0.000 0.303 x4

Most intense lines, 15° ≤ 2θ ≤ 90°, sorted by position:
two_theta, Rel. int., (hkl)
28.7, 47, 1 0 3
33.8, 100, 1 0 5
35.1, 22, 0 0 8
36.4, 61, 1 1 0
51.4, 29, 1 1 8
52.5, 21, 2 0 0
63.9, 32, 2 1 5
64.7, 14, 2 0 8
65.0, 17, 1 0 13
88.1, 15, 2 1 13


Record 3
For Nd3ScTe4, DFT lattice parameters and positions (GGA-PBE) gives the computed powder X-ray diffraction pattern in this record (Cu Ka).

Structure:
Cell: 6.277 6.277 12.522 Å, 90.00 90.00 90.00°
Space group I4/mmm (No. 139)
Inequivalent atoms, fractional coordinates:
Nd1 0.000 0.000 0.000 x2
Nd2 0.000 0.500 0.250 x4
Sc1 0.000 0.000 0.500 x2
Te1 0.000 0.000 0.261 x4
Te2 0.000 0.500 0.000 x4

Most intense lines, 15° ≤ 2θ ≤ 90°, sorted by position:
two_theta, Rel. int., (hkl)
25.6, 4, 1 0 3
28.5, 100, 2 0 0
40.7, 75, 2 2 0
50.4, 27, 2 2 4
58.8, 9, 4 0 0
66.7, 23, 4 2 0
66.8, 11, 2 0 8
74.0, 17, 4 2 4
74.1, 8, 2 2 8
88.2, 5, 4 0 8